Starting from a cell relaxed with PBE, the powder diffraction line list of NdYTh2Bi5 was computed for Cu Kα (λ = 1.5418 Å).
Kinematic intensities with the Lorentz-polarization factor, no thermal factor.

Structural model:
```
data_NdYTh2Bi5
_cell_length_a 5.541
_cell_length_b 5.541
_cell_length_c 11.774
_cell_angle_alpha 90.00
_cell_angle_beta 90.00
_cell_angle_gamma 90.00
_symmetry_space_group_name_H-M 'P 4/m m m'
_symmetry_Int_Tables_number 123
_symmetry_space_group_name_Hall '-P 4 2'
loop_
_atom_site_label
_atom_site_type_symbol
_atom_site_fract_x
_atom_site_fract_y
_atom_site_fract_z
_atom_site_occupancy
Nd1 Nd 0.000 0.000 0.000 1
Y1 Y 0.000 0.000 0.500 1
Th1 Th 0.500 0.500 0.200 1
Bi1 Bi 0.000 0.000 0.255 1
Bi2 Bi 0.000 0.500 0.000 1
Bi3 Bi 0.500 0.500 0.500 1
```

Largest 8 diffraction maxima, low angle first, 10° ≤ 2θ ≤ 80°:
2theta	I_rel
22.70	42
27.34	37
27.86	28
30.37	26
32.31	100
44.93	36
46.35	26
56.42	18